[1]
Starting from a crystal structure in the Materials Project, relaxed with GGA-PBE, the X-ray powder pattern of SnPb2N2 was calculated for Cu Kα.
Neutral-atom scattering factors, no anomalous dispersion.

The 10 most intense peaks (2θ from 5° to 70°), by intensity:
two_theta, I (rel.)
30.42, 100.0
11.40, 40.4
31.10, 37.1
28.83, 34.3
22.91, 26.0
54.91, 20.2
36.57, 18.6
57.80, 14.4
38.98, 14.3
50.26, 13.3

Structure:
```
SnPb2N2
1.0
2.8760 -5.7099 0.0000
2.8760 5.7099 0.0000
0.0000 0.0000 7.7624
Sn Pb N
2 4 4
Direct
0.2500 0.7500 0.7961
0.7500 0.2500 0.2039
0.0960 0.9040 0.3298
0.4040 0.5960 0.3298
0.5960 0.4040 0.6702
0.9040 0.0960 0.6702
0.1056 0.8944 0.6254
0.3944 0.6056 0.6254
0.6056 0.3944 0.3746
0.8944 0.1056 0.3746
```

=====

[2]
Starting from a crystal structure in the Materials Project, relaxed with GGA-PBE, the X-ray powder pattern of Sr7PbN6 was calculated for Cu Kα.
Neutral-atom scattering factors, no anomalous dispersion.

The 10 most intense peaks (2θ from 5° to 70°), by intensity:
two_theta, I (rel.)
29.83, 100.0
32.52, 50.9
29.19, 33.2
31.87, 28.6
19.69, 28.6
28.24, 27.2
27.77, 21.9
41.06, 20.7
60.52, 18.5
49.51, 16.6

Structure:
```
Sr7PbN6
1.0
-3.4248 6.3209 6.8030
3.4248 -6.3209 6.8030
3.4248 6.3209 -6.8030
Sr Pb N
14 2 12
Direct
0.0496 0.2181 0.2677
0.0895 0.5038 0.8511
0.1527 0.0038 0.4143
0.2500 0.2500 0.0000
0.3473 0.7616 0.8511
0.4105 0.2616 0.4143
0.4504 0.7181 0.1685
0.5496 0.2819 0.8315
0.5895 0.7384 0.5857
0.6527 0.2384 0.1489
0.7500 0.7500 0.0000
0.8473 0.9962 0.5857
0.9105 0.4962 0.1489
0.9504 0.7819 0.7323
0.2500 0.7500 0.5000
0.7500 0.2500 0.5000
0.0627 0.8808 0.5864
0.1496 0.8833 0.0330
0.2056 0.6192 0.1818
0.2944 0.4763 0.4136
0.3504 0.3833 0.7337
0.4373 0.0237 0.8182
0.5627 0.9763 0.1818
0.6496 0.6167 0.2663
0.7056 0.5237 0.5864
0.7944 0.3808 0.8182
0.8504 0.1167 0.9670
0.9373 0.1192 0.4136
```

=====

[3]
Starting from a crystal structure in the Materials Project, relaxed with GGA-PBE, the X-ray powder pattern of TiPb4N4 was calculated for Cu Kα.
Neutral-atom scattering factors, no anomalous dispersion.

The 10 most intense peaks (2θ from 5° to 70°), by intensity:
two_theta, I (rel.)
29.61, 100.0
26.97, 90.3
37.82, 58.3
32.73, 40.4
14.38, 36.1
33.84, 26.1
42.06, 22.2
28.98, 21.9
34.42, 20.8
37.11, 20.3

Structure:
```
TiPb4N4
1.0
5.4718 -4.1494 0.0000
5.4718 4.1494 0.0000
-5.4553 0.0000 8.4761
Ti Pb N
2 8 8
Direct
0.0390 0.9610 0.7500
0.9610 0.0390 0.2500
0.1358 0.2494 0.6264
0.2494 0.1358 0.1264
0.2491 0.5829 0.0418
0.4171 0.7509 0.4582
0.5829 0.2491 0.5418
0.7509 0.4171 0.9582
0.7506 0.8642 0.8736
0.8642 0.7506 0.3736
0.0525 0.2721 0.8642
0.1223 0.8172 0.8982
0.1828 0.8777 0.6018
0.2721 0.0525 0.3642
0.7279 0.9475 0.6358
0.8172 0.1223 0.3982
0.8777 0.1828 0.1018
0.9475 0.7279 0.1358
```

=====

[4]
Starting from a crystal structure in the Materials Project, relaxed with GGA-PBE, the X-ray powder pattern of Ti2Pb5N6 was calculated for Cu Kα.
Neutral-atom scattering factors, no anomalous dispersion.

The 10 most intense peaks (2θ from 5° to 70°), by intensity:
two_theta, I (rel.)
25.42, 100.0
30.22, 55.7
31.92, 54.4
27.75, 51.5
18.81, 33.6
31.50, 28.4
30.94, 27.4
46.69, 26.4
33.20, 26.0
38.47, 20.8

Structure:
```
Ti2Pb5N6
1.0
4.6596 -3.9456 0.0000
4.6596 3.9456 0.0000
-0.0823 0.0000 15.2421
Ti Pb N
4 10 12
Direct
0.0931 0.3839 0.0731
0.3839 0.0931 0.5731
0.6161 0.9069 0.4269
0.9069 0.6161 0.9269
0.1108 0.1731 0.8308
0.1731 0.1108 0.3308
0.1873 0.7015 0.4854
0.2985 0.8127 0.0146
0.4958 0.5042 0.2500
0.5042 0.4958 0.7500
0.7015 0.1873 0.9854
0.8127 0.2985 0.5146
0.8269 0.8892 0.6692
0.8892 0.8269 0.1692
0.0354 0.0873 0.0920
0.0873 0.0354 0.5920
0.1844 0.4303 0.9545
0.2238 0.5870 0.1500
0.4130 0.7762 0.3500
0.4303 0.1844 0.4545
0.5697 0.8156 0.5455
0.5870 0.2238 0.6500
0.7762 0.4130 0.8500
0.8156 0.5697 0.0455
0.9127 0.9646 0.4080
0.9646 0.9127 0.9080
```

=====

Number 2 is which compound?
Sr7PbN6